[1]
Calculated XRD peak list
Compound: MgGa2
Radiation: CuKα
Structure: a cell relaxed with PBE
Kinematic intensities with the Lorentz-polarization factor, no thermal factor.

Cell and atoms:
Cell: 9.4133 4.7893 5.1686 Å, 90.00 90.00 90.00°
Space group Cmcm (No. 63)
Asymmetric unit:
Mg1 0.0000 0.1921 0.2500
Ga1 0.1712 0.3153 0.7500

Principal peaks in the range 2θ from 15° to 90°, sorted by position:
18.85°, rel. 18; 27.09°, rel. 16; 34.71°, rel. 40; 38.47°, rel. 100; 41.56°, rel. 25; 64.72°, rel. 21

=====

[2]
Calculated XRD peak list
Compound: Mg2Ga
Radiation: CuKα
Structure: a cell relaxed with PBE
Kinematic intensities with the Lorentz-polarization factor, no thermal factor.

Cell and atoms:
Cell: 5.4330 5.4330 14.5524 Å, 90.00 90.00 120.00°
Space group R32 (No. 155, hexagonal axes)
Asymmetric unit:
Mg1 0.0000 0.0000 0.0000
Mg2 0.0000 0.6697 0.5000
Ga1 0.0000 0.0000 0.3347

Principal peaks in the range 2θ from 15° to 90°, sorted by position:
18.29°, rel. 19; 32.97°, rel. 34; 37.07°, rel. 23; 37.96°, rel. 100; 50.44°, rel. 20; 71.66°, rel. 18

=====

[3]
Calculated XRD peak list
Compound: Mg2Ga
Radiation: CuKα
Structure: a cell relaxed with PBE
Kinematic intensities with the Lorentz-polarization factor, no thermal factor.

Cell and atoms:
Cell: 9.9290 5.0637 4.9459 Å, 90.00 90.00 90.00°
Space group Cmcm (No. 63)
Asymmetric unit:
Mg1 0.1582 0.2004 0.2500
Ga1 0.0000 0.3063 0.7500

Principal peaks in the range 2θ from 15° to 90°, sorted by position:
17.87°, rel. 31; 26.75°, rel. 31; 35.45°, rel. 20; 36.33°, rel. 30; 37.20°, rel. 100; 40.00°, rel. 22